Starting from a DFT-relaxed cell (PBE, Alexandria), the X-ray diffraction stick pattern of PuZn4 was computed for λ = 1.5418 Å (Cu Kα).
Peak positions follow from Bragg's law for the DFT cell and can differ from measured ones.

The 6 most intense peaks (2θ from 10° to 90°), low angle first:
d_spacing	two_theta	intensity
3.806	23.37	19
3.755	23.69	20
3.088	28.91	45
2.417	37.20	52
2.391	37.61	98
2.379	37.82	100

Atomic structure:
a = 4.964 Å, b = 4.964 Å, c = 4.953 Å
α = 102.94°, β = 102.94°, γ = 122.43°
Positions (direct):
Pu: 0.000 0.000 0.000
Zn: 0.204 0.505 0.700
Zn: 0.495 0.796 0.300
Zn: 0.505 0.204 0.700
Zn: 0.796 0.495 0.300

---

Starting from a DFT-relaxed cell (PBE, Alexandria), the X-ray diffraction stick pattern of PuZr was computed for λ = 1.5418 Å (Cu Kα).
Peak positions follow from Bragg's law for the DFT cell and can differ from measured ones.

The 6 most intense peaks (2θ from 10° to 90°), low angle first:
d_spacing	two_theta	intensity
5.278	16.80	31
2.664	33.64	100
2.639	33.97	32
2.302	39.13	66
1.634	56.32	23
1.389	67.43	27

Atomic structure:
a = 5.605 Å, b = 5.605 Å, c = 5.605 Å
α = 33.89°, β = 33.89°, γ = 33.89°
Positions (direct):
Pu: 0.000 0.000 0.000
Zr: 0.500 0.500 0.500

---

Starting from a DFT-relaxed cell (PBE, Alexandria), the X-ray diffraction stick pattern of PuZr4 was computed for λ = 1.5418 Å (Cu Kα).
Peak positions follow from Bragg's law for the DFT cell and can differ from measured ones.

The 6 most intense peaks (2θ from 10° to 90°), low angle first:
d_spacing	two_theta	intensity
2.625	34.16	100
2.284	39.46	20
2.269	39.73	33
1.609	57.25	22
1.375	68.19	13
1.370	68.49	13

Atomic structure:
a = 11.640 Å, b = 11.639 Å, c = 3.208 Å
α = 82.10°, β = 82.06°, γ = 15.84°
Positions (direct):
Pu: 0.000 0.000 0.000
Zr: 0.200 0.200 0.800
Zr: 0.398 0.398 0.602
Zr: 0.602 0.602 0.398
Zr: 0.800 0.800 0.200

---

Starting from a DFT-relaxed cell (PBE, Alexandria), the X-ray diffraction stick pattern of PuZr8 was computed for λ = 1.5418 Å (Cu Kα).
Peak positions follow from Bragg's law for the DFT cell and can differ from measured ones.

The 6 most intense peaks (2θ from 10° to 90°), low angle first:
d_spacing	two_theta	intensity
2.618	34.26	100
2.267	39.76	50
1.603	57.49	33
1.368	68.59	13
1.366	68.69	26
1.309	72.18	11

Atomic structure:
a = 7.166 Å, b = 7.166 Å, c = 7.166 Å
α = 95.76°, β = 95.76°, γ = 143.07°
Positions (direct):
Pu: 0.000 0.000 0.000
Zr: 0.000 0.334 0.334
Zr: 0.000 0.666 0.666
Zr: 0.333 0.333 0.667
Zr: 0.333 0.667 0.000
Zr: 0.334 0.000 0.334
Zr: 0.666 0.000 0.666
Zr: 0.667 0.333 0.000
Zr: 0.667 0.667 0.333

---

Starting from a DFT-relaxed cell (PBE, Alexandria), the X-ray diffraction stick pattern of PuZr5 was computed for λ = 1.5418 Å (Cu Kα).
Peak positions follow from Bragg's law for the DFT cell and can differ from measured ones.

The 6 most intense peaks (2θ from 10° to 90°), low angle first:
d_spacing	two_theta	intensity
2.621	34.21	36
2.618	34.25	100
2.271	39.68	44
2.261	39.86	22
1.603	57.51	30
1.369	68.54	35

Atomic structure:
a = 5.560 Å, b = 5.560 Å, c = 5.551 Å
α = 99.46°, β = 99.46°, γ = 120.20°
Positions (direct):
Pu: 0.000 0.000 0.000
Zr: 0.169 0.831 0.500
Zr: 0.334 0.666 0.000
Zr: 0.500 0.500 0.500
Zr: 0.666 0.334 0.000
Zr: 0.831 0.169 0.500

---

Starting from a DFT-relaxed cell (PBE, Alexandria), the X-ray diffraction stick pattern of Rb was computed for λ = 1.5418 Å (Cu Kα).
Peak positions follow from Bragg's law for the DFT cell and can differ from measured ones.

The 6 most intense peaks (2θ from 10° to 90°), low angle first:
d_spacing	two_theta	intensity
4.048	21.96	100
3.808	23.36	43
3.070	29.09	12
2.390	37.64	24
2.245	40.17	19
2.239	40.28	20

Atomic structure:
a = 4.890 Å, b = 4.890 Å, c = 8.177 Å
α = 96.14°, β = 96.14°, γ = 66.63°
Positions (direct):
Rb: 0.234 0.234 0.250
Rb: 0.766 0.766 0.750